Record 1
Simulated XRD peak list
Compound: Y12Zn6Bi
Radiation: Cu Ka
Structure: a cell relaxed with PBE
Intensities are scaled so that the largest is 100.

Peak list (12 most intense, 10 to 90 degrees two-theta, most intense first)
2theta, d [Å], intensity
33.24, 2.696, 100
30.71, 2.912, 44
45.88, 1.978, 29
56.22, 1.636, 29
35.60, 2.522, 22
65.43, 1.426, 20
52.93, 1.730, 20
37.84, 2.377, 14
27.97, 3.190, 14
82.22, 1.173, 13
80.87, 1.189, 13
17.59, 5.043, 12

Atomic structure:
a = 8.7349 Å, b = 8.7349 Å, c = 8.7349 Å
α = 109.47°, β = 109.47°, γ = 109.47°
Fractional coordinates of all 19 atoms:
Y 0.1033 0.2950 0.8083
Y 0.1917 0.4867 0.2950
Y 0.1917 0.8967 0.7050
Y 0.2950 0.1917 0.4867
Y 0.2950 0.8083 0.1033
Y 0.4867 0.2950 0.1917
Y 0.5133 0.7050 0.8083
Y 0.7050 0.1917 0.8967
Y 0.7050 0.8083 0.5133
Y 0.8083 0.1033 0.2950
Y 0.8083 0.5133 0.7050
Y 0.8967 0.7050 0.1917
Zn 0.1222 0.5000 0.6222
Zn 0.3778 0.8778 0.5000
Zn 0.5000 0.3778 0.8778
Zn 0.5000 0.6222 0.1222
Zn 0.6222 0.1222 0.5000
Zn 0.8778 0.5000 0.3778
Bi 0.0000 0.0000 0.0000

Record 2
Simulated XRD peak list
Compound: Yb5Bi3
Radiation: Cu Ka
Structure: a cell relaxed with PBE
Intensities are scaled so that the largest is 100.

Peak list (12 most intense, 10 to 90 degrees two-theta, most intense first)
2theta, d [Å], intensity
31.55, 2.836, 100
28.97, 3.082, 76
30.13, 2.966, 67
30.42, 2.938, 51
33.99, 2.637, 49
36.87, 2.438, 46
32.81, 2.729, 32
48.66, 1.871, 24
36.36, 2.471, 23
48.54, 1.876, 22
39.84, 2.262, 22
29.47, 3.031, 20

Atomic structure:
a = 12.5425 Å, b = 9.7509 Å, c = 8.3900 Å
α = 90.00°, β = 90.00°, γ = 90.00°
Fractional coordinates of all 32 atoms:
Yb 0.0046 0.2500 0.0316
Yb 0.0724 0.0474 0.6969
Yb 0.0724 0.4526 0.6969
Yb 0.2096 0.7500 0.3424
Yb 0.2325 0.2500 0.3135
Yb 0.2675 0.7500 0.8135
Yb 0.2904 0.2500 0.8424
Yb 0.4276 0.5474 0.1969
Yb 0.4276 0.9526 0.1969
Yb 0.4954 0.7500 0.5316
Yb 0.5046 0.2500 0.4684
Yb 0.5724 0.0474 0.8031
Yb 0.5724 0.4526 0.8031
Yb 0.7096 0.7500 0.1576
Yb 0.7325 0.2500 0.1865
Yb 0.7675 0.7500 0.6865
Yb 0.7904 0.2500 0.6576
Yb 0.9276 0.5474 0.3031
Yb 0.9276 0.9526 0.3031
Yb 0.9954 0.7500 0.9684
Bi 0.0173 0.7500 0.5827
Bi 0.1733 0.5113 0.0625
Bi 0.1733 0.9887 0.0625
Bi 0.3267 0.0113 0.5625
Bi 0.3267 0.4887 0.5625
Bi 0.4827 0.2500 0.0827
Bi 0.5173 0.7500 0.9173
Bi 0.6733 0.5113 0.4375
Bi 0.6733 0.9887 0.4375
Bi 0.8267 0.0113 0.9375
Bi 0.8267 0.4887 0.9375
Bi 0.9827 0.2500 0.4173

Record 3
Simulated XRD peak list
Compound: ZrBi4
Radiation: Cu Ka
Structure: a cell relaxed with PBE
Intensities are scaled so that the largest is 100.

Peak list (12 most intense, 10 to 90 degrees two-theta, most intense first)
2theta, d [Å], intensity
31.57, 2.834, 100
32.91, 2.722, 82
27.10, 3.291, 42
59.32, 1.558, 28
43.13, 2.097, 25
64.29, 1.449, 21
38.70, 2.327, 19
50.76, 1.798, 16
40.26, 2.240, 15
57.07, 1.614, 14
19.07, 4.654, 14
58.81, 1.570, 14

Atomic structure:
a = 5.8676 Å, b = 5.8676 Å, c = 5.8676 Å
α = 111.77°, β = 111.77°, γ = 104.96°
Fractional coordinates of all 5 atoms:
Zr 0.0000 0.0000 0.0000
Bi 0.1596 0.1596 0.6155
Bi 0.4559 0.8404 0.0000
Bi 0.5441 0.5441 0.3845
Bi 0.8404 0.4559 0.0000

Record 4
Simulated XRD peak list
Compound: Zr3Bi7
Radiation: Cu Ka
Structure: a cell relaxed with PBE
Intensities are scaled so that the largest is 100.

Peak list (12 most intense, 10 to 90 degrees two-theta, most intense first)
2theta, d [Å], intensity
36.04, 2.492, 100
26.66, 3.344, 84
31.66, 2.826, 69
29.26, 3.052, 51
64.79, 1.439, 45
50.32, 1.813, 28
53.42, 1.715, 24
48.72, 1.869, 24
38.06, 2.364, 22
51.88, 1.762, 22
72.65, 1.301, 19
41.86, 2.158, 19

Atomic structure:
a = 9.1568 Å, b = 9.1568 Å, c = 9.1568 Å
α = 109.47°, β = 109.47°, γ = 109.47°
Fractional coordinates of all 20 atoms:
Zr 0.0000 0.3520 0.3520
Zr 0.0000 0.6480 0.6480
Zr 0.3520 0.0000 0.3520
Zr 0.3520 0.3520 0.0000
Zr 0.6480 0.0000 0.6480
Zr 0.6480 0.6480 0.0000
Bi 0.0000 0.0000 0.3240
Bi 0.0000 0.0000 0.6760
Bi 0.0000 0.3240 0.0000
Bi 0.0000 0.6760 0.0000
Bi 0.2500 0.5000 0.7500
Bi 0.2500 0.7500 0.5000
Bi 0.3240 0.0000 0.0000
Bi 0.3240 0.3240 0.3240
Bi 0.5000 0.2500 0.7500
Bi 0.5000 0.7500 0.2500
Bi 0.6760 0.0000 0.0000
Bi 0.6760 0.6760 0.6760
Bi 0.7500 0.2500 0.5000
Bi 0.7500 0.5000 0.2500

Record 5
Simulated XRD peak list
Compound: Zr2Bi3
Radiation: Cu Ka
Structure: a cell relaxed with PBE
Intensities are scaled so that the largest is 100.

Peak list (12 most intense, 10 to 90 degrees two-theta, most intense first)
2theta, d [Å], intensity
29.36, 3.042, 100
29.51, 3.027, 88
33.99, 2.637, 41
24.72, 3.601, 36
34.83, 2.576, 35
25.99, 3.428, 32
44.62, 2.031, 29
66.49, 1.406, 26
46.41, 1.956, 26
35.35, 2.539, 26
48.27, 1.885, 26
35.22, 2.548, 21

Atomic structure:
a = 7.2655 Å, b = 3.7705 Å, c = 11.3489 Å
α = 90.00°, β = 107.85°, γ = 90.00°
Fractional coordinates of all 10 atoms:
Zr 0.0918 0.2500 0.1476
Zr 0.2463 0.2500 0.4907
Zr 0.7537 0.7500 0.5093
Zr 0.9082 0.7500 0.8524
Bi 0.0384 0.2500 0.6863
Bi 0.3116 0.7500 0.0254
Bi 0.4993 0.7500 0.6774
Bi 0.5007 0.2500 0.3226
Bi 0.6884 0.2500 0.9746
Bi 0.9616 0.7500 0.3137

Record 6
Simulated XRD peak list
Compound: CaCBr2
Radiation: Cu Ka
Structure: a cell relaxed with PBE
Intensities are scaled so that the largest is 100.

Peak list (12 most intense, 10 to 90 degrees two-theta, most intense first)
2theta, d [Å], intensity
29.88, 2.990, 100
11.12, 7.960, 87
40.76, 2.214, 52
23.50, 3.786, 48
24.38, 3.651, 41
44.71, 2.027, 37
38.21, 2.355, 27
27.65, 3.226, 26
51.35, 1.779, 21
42.38, 2.133, 19
67.54, 1.387, 18
53.94, 1.700, 15

Atomic structure:
a = 8.3603 Å, b = 8.3603 Å, c = 8.3603 Å
α = 30.71°, β = 30.71°, γ = 30.71°
Fractional coordinates of all 4 atoms:
Ca 0.0000 0.0000 0.0000
C 0.5000 0.5000 0.5000
Br 0.3948 0.3948 0.3948
Br 0.6052 0.6052 0.6052

Record 7
Simulated XRD peak list
Compound: CaPH6CBr3
Radiation: Cu Ka
Structure: a cell relaxed with PBE
Intensities are scaled so that the largest is 100.

Peak list (12 most intense, 10 to 90 degrees two-theta, most intense first)
2theta, d [Å], intensity
11.49, 7.702, 100
24.38, 3.651, 47
26.59, 3.352, 32
28.34, 3.149, 30
12.21, 7.246, 28
26.95, 3.308, 26
25.51, 3.492, 26
27.68, 3.222, 25
42.21, 2.141, 22
24.69, 3.606, 21
39.63, 2.274, 16
42.53, 2.126, 16

Atomic structure:
a = 7.3858 Å, b = 8.6649 Å, c = 15.4360 Å
α = 85.11°, β = 85.63°, γ = 82.25°
Fractional coordinates of all 48 atoms:
Ca 0.0000 0.0000 0.0000
Ca 0.1684 0.4892 0.4936
Ca 0.4998 0.0006 0.0002
Ca 0.6673 0.4944 0.4948
P 0.2981 0.9608 0.2939
P 0.3643 0.4401 0.7781
P 0.7499 0.4585 0.1255
P 0.8438 0.9422 0.6078
H 0.0303 0.4932 0.1829
H 0.1216 0.9460 0.3330
H 0.1761 0.5413 0.8985
H 0.2360 0.4907 0.7154
H 0.2755 0.0617 0.2171
H 0.3249 0.6772 0.8510
H 0.3528 0.2795 0.8013
H 0.3709 0.8104 0.2702
H 0.3858 0.1515 0.3801
H 0.4142 0.5105 0.9198
H 0.4325 0.9558 0.4296
H 0.5400 0.4558 0.7387
H 0.5675 0.5331 0.1299
H 0.5788 0.0223 0.3392
H 0.6865 0.8724 0.5964
H 0.7104 0.1153 0.7141
H 0.7440 0.2969 0.1473
H 0.8123 0.9322 0.7639
H 0.8139 0.4767 0.0376
H 0.8407 0.5145 0.2634
H 0.8658 0.0574 0.5382
H 0.8705 0.6697 0.1806
H 0.9543 0.0753 0.7186
H 0.9968 0.8265 0.6019
C 0.3154 0.5535 0.8710
C 0.4379 0.0299 0.3683
C 0.8286 0.0242 0.7114
C 0.8867 0.5425 0.1953
Br 0.1998 0.2253 0.0711
Br 0.2729 0.0094 0.8537
Br 0.2744 0.7729 0.0838
Br 0.3690 0.7167 0.5664
Br 0.4407 0.5029 0.3479
Br 0.4448 0.2637 0.5789
Br 0.7216 0.2359 0.9242
Br 0.7245 0.9968 0.1497
Br 0.7961 0.7737 0.9369
Br 0.8936 0.7333 0.4227
Br 0.8960 0.4863 0.6428
Br 0.9611 0.2721 0.4232

Record 8
Simulated XRD peak list
Compound: Ca2RhCBr
Radiation: Cu Ka
Structure: a cell relaxed with PBE
Intensities are scaled so that the largest is 100.

Peak list (12 most intense, 10 to 90 degrees two-theta, most intense first)
2theta, d [Å], intensity
33.46, 2.678, 100
34.07, 2.632, 56
60.60, 1.528, 34
23.91, 3.722, 23
59.43, 1.555, 20
48.95, 1.861, 19
70.31, 1.339, 12
47.14, 1.928, 11
81.85, 1.177, 8
78.78, 1.215, 8
23.07, 3.856, 8
41.55, 2.174, 7

Atomic structure:
a = 5.2632 Å, b = 5.2632 Å, c = 3.8557 Å
α = 90.00°, β = 90.00°, γ = 90.00°
Fractional coordinates of all 5 atoms:
Ca 0.0000 0.5000 0.0000
Ca 0.5000 0.0000 0.0000
Rh 0.0000 0.0000 0.5000
C 0.0000 0.0000 0.0000
Br 0.5000 0.5000 0.5000